# 1
Structure and theoretical X-ray powder pattern of V4Pd12Rh (DFT lattice parameters and positions (PBE); Cu Kα, 1.54184 Å).
No peak broadening, texture or thermal motion is included.

Structure:
Cell lengths 7.088, 7.088, 7.088 Å; angles 109.47, 109.47, 109.47 degrees
Sites, in units of the cell vectors:
V 0.000 0.000 0.500
V 0.000 0.500 0.000
V 0.500 0.000 0.000
V 0.500 0.500 0.500
Pd 0.000 0.295 0.295
Pd 0.000 0.705 0.705
Pd 0.250 0.500 0.750
Pd 0.250 0.750 0.500
Pd 0.295 0.000 0.295
Pd 0.295 0.295 0.000
Pd 0.500 0.250 0.750
Pd 0.500 0.750 0.250
Pd 0.705 0.000 0.705
Pd 0.705 0.705 0.000
Pd 0.750 0.250 0.500
Pd 0.750 0.500 0.250
Rh 0.000 0.000 0.000

Principal peaks in the range 2θ = 5–70°, sorted by position:
2θ = 21.72°, rel. 265
2θ = 34.66°, rel. 101
2θ = 38.09°, rel. 1000
2θ = 41.27°, rel. 168
2θ = 44.27°, rel. 636
2θ = 47.11°, rel. 111
2θ = 52.44°, rel. 153
2θ = 64.40°, rel. 336

***

# 2
Structure and theoretical X-ray powder pattern of Cs2Ga3As5O18 (DFT lattice parameters and positions (PBE); Cu Kα, 1.54184 Å).
No peak broadening, texture or thermal motion is included.

Structure:
Cell lengths 14.033, 14.033, 12.722 Å; angles 94.24, 94.24, 21.40 degrees
Sites, in units of the cell vectors:
Cs 0.079 0.179 0.352
Cs 0.179 0.079 0.852
Cs 0.821 0.921 0.148
Cs 0.921 0.821 0.648
Ga 0.000 0.000 0.000
Ga 0.000 0.000 0.500
Ga 0.237 0.364 0.385
Ga 0.364 0.237 0.885
Ga 0.636 0.763 0.115
Ga 0.763 0.636 0.615
As 0.207 0.335 0.127
As 0.245 0.755 0.250
As 0.335 0.207 0.627
As 0.430 0.432 0.415
As 0.432 0.430 0.915
As 0.568 0.570 0.085
As 0.570 0.568 0.585
As 0.665 0.793 0.373
As 0.755 0.245 0.750
As 0.793 0.665 0.873
O 0.053 0.902 0.145
O 0.098 0.947 0.355
O 0.120 0.757 0.938
O 0.128 0.349 0.881
O 0.134 0.296 0.618
O 0.243 0.880 0.562
O 0.271 0.650 0.508
O 0.275 0.471 0.391
O 0.293 0.322 0.738
O 0.296 0.134 0.118
O 0.296 0.327 0.535
O 0.322 0.293 0.238
O 0.327 0.296 0.035
O 0.349 0.128 0.381
O 0.350 0.729 0.992
O 0.402 0.503 0.284
O 0.471 0.275 0.891
O 0.497 0.598 0.216
O 0.503 0.402 0.784
O 0.529 0.725 0.109
O 0.598 0.497 0.716
O 0.650 0.271 0.008
O 0.651 0.872 0.619
O 0.673 0.704 0.965
O 0.678 0.707 0.762
O 0.704 0.673 0.465
O 0.704 0.866 0.882
O 0.707 0.678 0.262
O 0.725 0.529 0.609
O 0.729 0.350 0.492
O 0.757 0.120 0.438
O 0.866 0.704 0.382
O 0.872 0.651 0.119
O 0.880 0.243 0.062
O 0.902 0.053 0.645
O 0.947 0.098 0.855

Principal peaks in the range 2θ = 5–70°, sorted by position:
2θ = 22.16°, rel. 284
2θ = 24.20°, rel. 318
2θ = 24.57°, rel. 892
2θ = 26.81°, rel. 278
2θ = 28.14°, rel. 273
2θ = 28.40°, rel. 601
2θ = 28.45°, rel. 1000
2θ = 34.43°, rel. 329

***

# 3
Structure and theoretical X-ray powder pattern of NaOs3Pd (DFT lattice parameters and positions (PBE); Cu Kα, 1.54184 Å).
No peak broadening, texture or thermal motion is included.

Structure:
Cell lengths 4.841, 4.841, 4.841 Å; angles 90.00, 90.00, 90.00 degrees
Sites, in units of the cell vectors:
Na 0.000 0.000 0.000
Os 0.000 0.500 0.500
Os 0.500 0.000 0.500
Os 0.500 0.500 0.000
Pd 0.500 0.500 0.500

Principal peaks in the range 2θ = 5–70°, sorted by position:
2θ = 18.32°, rel. 894
2θ = 32.02°, rel. 931
2θ = 37.14°, rel. 1000
2θ = 41.72°, rel. 442
2θ = 53.54°, rel. 703
2θ = 57.07°, rel. 222
2θ = 63.76°, rel. 399
2θ = 66.95°, rel. 239

***

# 4
Structure and theoretical X-ray powder pattern of LaTb2Cd6 (DFT lattice parameters and positions (PBE); Cu Kα, 1.54184 Å).
No peak broadening, texture or thermal motion is included.

Structure:
Cell lengths 8.742, 8.742, 3.456 Å; angles 90.00, 90.00, 120.00 degrees
Sites, in units of the cell vectors:
La 0.000 0.000 0.000
Tb 0.333 0.667 0.000
Tb 0.667 0.333 0.000
Cd 0.000 0.337 0.500
Cd 0.000 0.663 0.500
Cd 0.337 0.000 0.500
Cd 0.337 0.337 0.500
Cd 0.663 0.000 0.500
Cd 0.663 0.663 0.500

Principal peaks in the range 2θ = 5–70°, sorted by position:
2θ = 33.04°, rel. 1000
2θ = 35.57°, rel. 840
2θ = 44.45°, rel. 37
2θ = 49.34°, rel. 319
2θ = 53.00°, rel. 87
2θ = 62.29°, rel. 312
2θ = 63.89°, rel. 146
2θ = 65.47°, rel. 272

***

# 5
Structure and theoretical X-ray powder pattern of SmHo5Er4 (DFT lattice parameters and positions (PBE); Cu Kα, 1.54184 Å).
No peak broadening, texture or thermal motion is included.

Structure:
Cell lengths 7.808, 7.808, 7.808 Å; angles 99.30, 99.30, 132.60 degrees
Sites, in units of the cell vectors:
Sm 0.000 0.000 0.000
Ho 0.456 0.456 0.000
Ho 0.493 0.871 0.910
Ho 0.583 0.493 0.622
Ho 0.871 0.961 0.378
Ho 0.961 0.583 0.090
Er 0.179 0.881 0.602
Er 0.279 0.577 0.398
Er 0.577 0.179 0.298
Er 0.881 0.279 0.702

Principal peaks in the range 2θ = 5–70°, sorted by position:
2θ = 27.91°, rel. 660
2θ = 28.44°, rel. 327
2θ = 30.10°, rel. 1000
2θ = 31.12°, rel. 394
2θ = 33.61°, rel. 240
2θ = 35.05°, rel. 605
2θ = 39.45°, rel. 248
2θ = 40.27°, rel. 368